[1]
For LaYF6, a structure optimized by DFT (GGA-PBE) gives the simulated powder diffractogram in this record (Cu Kα, 1.54184 Å).

Crystal structure
```
LaYF6
1.0
5.5027 0.0000 0.0000
0.0000 5.5027 0.0000
0.0000 0.0000 8.1034
La Y F
2 2 12
Direct
0.0000 0.0000 0.0000
0.0000 0.0000 0.5000
0.5000 0.5000 0.2500
0.5000 0.5000 0.7500
0.2039 0.2487 0.1836
0.2039 0.2487 0.8164
0.2487 0.7961 0.3164
0.2487 0.7961 0.6836
0.3132 0.3382 0.5000
0.3382 0.6868 0.0000
0.6618 0.3132 0.0000
0.6868 0.6618 0.5000
0.7513 0.2039 0.3164
0.7513 0.2039 0.6836
0.7961 0.7513 0.1836
0.7961 0.7513 0.8164
```

Top 10 peaks for 10 to 90 degrees two-theta, most intense first:
two_theta	I (rel.)
22.86	1000
27.33	918
43.00	796
54.95	248
46.69	235
50.81	223
52.59	163
65.34	139
56.40	135
71.47	131


[2]
For LaZn2F8, a structure optimized by DFT (GGA-PBE) gives the simulated powder diffractogram in this record (Cu Kα, 1.54184 Å).

Crystal structure
```
LaZn2F8
1.0
-2.7779 2.7779 5.5443
2.7779 -2.7779 5.5443
2.7779 2.7779 -5.5443
La Zn F
1 2 8
Direct
0.0000 0.0000 0.0000
0.2500 0.7500 0.5000
0.7500 0.2500 0.5000
0.0315 0.5596 0.8545
0.1769 0.0315 0.4718
0.2949 0.4404 0.4718
0.4404 0.9685 0.1455
0.5596 0.7051 0.5282
0.7051 0.1769 0.1455
0.8231 0.2949 0.8545
0.9685 0.8231 0.5282
```

Top 10 peaks for 10 to 90 degrees two-theta, most intense first:
two_theta	I (rel.)
27.83	1000
17.86	779
46.25	584
54.84	418
37.08	259
43.92	253
74.50	182
29.02	179
32.24	174
55.53	135


[3]
For La2ZnF8, a structure optimized by DFT (GGA-PBE) gives the simulated powder diffractogram in this record (Cu Kα, 1.54184 Å).

Crystal structure
```
La2ZnF8
1.0
6.9947 -2.0558 0.0000
6.9947 2.0558 0.0000
-1.9398 0.0000 4.9849
La Zn F
2 1 8
Direct
0.1623 0.1623 0.1620
0.8377 0.8377 0.8380
0.5000 0.5000 0.5000
0.0178 0.0178 0.7578
0.2193 0.2193 0.6364
0.3416 0.3416 0.1279
0.4083 0.4083 0.6986
0.5917 0.5917 0.3014
0.6584 0.6584 0.8721
0.7807 0.7807 0.3636
0.9822 0.9822 0.2422
```

Top 10 peaks for 10 to 90 degrees two-theta, most intense first:
two_theta	I (rel.)
27.36	1000
29.92	651
26.15	602
26.70	554
45.18	499
45.88	442
44.05	347
56.22	276
50.16	270
50.80	244


[4]
For Li2F3, a structure optimized by DFT (GGA-PBE) gives the simulated powder diffractogram in this record (Cu Kα, 1.54184 Å).

Crystal structure
```
Li2F3
1.0
-3.2606 3.7249 1.9371
3.2606 -3.7249 1.9371
3.2606 3.7249 -1.9371
Li F
4 6
Direct
0.1335 0.1765 0.3099
0.3665 0.6765 0.0430
0.6335 0.3235 0.9570
0.8665 0.8235 0.6901
0.1430 0.8537 0.9967
0.2500 0.7500 0.5000
0.3570 0.3537 0.7107
0.6430 0.6463 0.2893
0.7500 0.2500 0.5000
0.8570 0.1463 0.0033
```

Top 10 peaks for 10 to 90 degrees two-theta, most intense first:
two_theta	I (rel.)
38.80	1000
43.36	827
38.04	588
36.18	571
50.67	551
76.18	308
36.63	307
70.09	244
55.15	191
56.94	159


[5]
For LiMgF, a structure optimized by DFT (GGA-PBE) gives the simulated powder diffractogram in this record (Cu Kα, 1.54184 Å).

Crystal structure
```
LiMgF
1.0
3.1282 0.0000 0.0000
-1.5641 2.7091 0.0000
0.0000 0.0000 11.5245
Li Mg F
2 2 2
Direct
0.0000 0.0000 0.2406
0.0000 0.0000 0.7594
0.3333 0.6667 0.0000
0.3333 0.6667 0.5000
0.3333 0.6667 0.1901
0.3333 0.6667 0.8099
```

Top 10 peaks for 10 to 90 degrees two-theta, most intense first:
two_theta	I (rel.)
33.07	1000
58.95	290
45.98	251
31.04	216
59.06	216
23.15	173
36.65	170
40.76	168
68.23	120
69.38	86


[6]
For LiMgF3, a structure optimized by DFT (GGA-PBE) gives the simulated powder diffractogram in this record (Cu Kα, 1.54184 Å).

Crystal structure
```
LiMgF3
1.0
5.3627 0.0000 0.0000
-2.6813 4.6442 0.0000
0.0000 0.0000 2.7053
Li Mg F
1 1 3
Direct
0.0000 0.0000 0.0000
0.3333 0.6667 0.9979
0.1708 0.8280 0.4980
0.1720 0.3428 0.4980
0.6572 0.8292 0.4980
```

Top 10 peaks for 10 to 90 degrees two-theta, most intense first:
two_theta	I (rel.)
19.11	1000
51.89	375
47.76	232
38.78	191
52.10	94
70.20	86
70.03	64
38.51	47
33.11	39
63.14	37


[7]
For Li3Mg2F7, a structure optimized by DFT (GGA-PBE) gives the simulated powder diffractogram in this record (Cu Kα, 1.54184 Å).

Crystal structure
```
Li3Mg2F7
1.0
9.0646 -2.5899 0.0000
9.0646 2.5899 0.0000
0.0000 0.0000 5.2601
Li Mg F
6 4 14
Direct
0.0749 0.5188 0.5771
0.2478 0.7522 0.5000
0.4812 0.9251 0.5771
0.5188 0.0749 0.0771
0.7522 0.2478 0.0000
0.9251 0.4812 0.0771
0.1427 0.6485 0.0316
0.3515 0.8573 0.0316
0.6485 0.1427 0.5316
0.8573 0.3515 0.5316
0.0520 0.2155 0.8567
0.1194 0.8806 0.1056
0.1638 0.4228 0.9525
0.2155 0.0520 0.3567
0.3456 0.5030 0.7062
0.4228 0.1638 0.4525
0.4970 0.6544 0.7062
0.5030 0.3456 0.2062
0.5772 0.8362 0.9525
0.6544 0.4970 0.2062
0.7845 0.9480 0.8567
0.8362 0.5772 0.4525
0.8806 0.1194 0.6056
0.9480 0.7845 0.3567
```

Top 10 peaks for 10 to 90 degrees two-theta, most intense first:
two_theta	I (rel.)
38.88	1000
24.62	920
38.75	830
62.13	754
19.59	674
40.06	489
46.10	458
35.54	419
42.65	407
49.39	342


[8]
For LiMgF3, a structure optimized by DFT (GGA-PBE) gives the simulated powder diffractogram in this record (Cu Kα, 1.54184 Å).

Crystal structure
```
LiMgF3
1.0
5.2381 0.0000 0.0000
-2.6191 4.5364 0.0000
0.0000 0.0000 5.3318
Li Mg F
2 2 6
Direct
0.0000 0.0000 0.0000
0.0000 0.0000 0.5000
0.6667 0.3333 0.0000
0.6667 0.3333 0.5000
0.3436 0.0995 0.2500
0.3436 0.2441 0.7500
0.7559 0.0995 0.7500
0.7559 0.6564 0.2500
0.9005 0.2441 0.2500
0.9005 0.6564 0.7500
```

Top 10 peaks for 10 to 90 degrees two-theta, most intense first:
two_theta	I (rel.)
19.57	1000
48.74	313
53.01	295
38.29	246
39.74	109
56.37	78
78.04	68
53.44	66
39.20	53
75.58	48


[9]
For Li2Mg3F8, a structure optimized by DFT (GGA-PBE) gives the simulated powder diffractogram in this record (Cu Kα, 1.54184 Å).

Crystal structure
```
Li2Mg3F8
1.0
3.0566 -5.8325 0.0000
3.0566 5.8325 0.0000
0.0000 0.0000 8.4761
Li Mg F
4 6 16
Direct
0.1195 0.8805 0.8894
0.3805 0.6195 0.3894
0.6195 0.3805 0.6106
0.8805 0.1195 0.1106
0.0000 0.0000 0.5000
0.1066 0.3934 0.7500
0.3934 0.1066 0.2500
0.5000 0.5000 0.0000
0.6066 0.8934 0.7500
0.8934 0.6066 0.2500
0.0163 0.9837 0.2601
0.1292 0.3584 0.5189
0.1416 0.3708 0.9811
0.2488 0.7512 0.2570
0.2512 0.7488 0.7570
0.3584 0.1292 0.4811
0.3708 0.1416 0.0189
0.4837 0.5163 0.7601
0.5163 0.4837 0.2399
0.6292 0.8584 0.9811
0.6416 0.8708 0.5189
0.7488 0.2512 0.2430
0.7512 0.2488 0.7430
0.8584 0.6292 0.0189
0.8708 0.6416 0.4811
0.9837 0.0163 0.7399
```

Top 10 peaks for 10 to 90 degrees two-theta, most intense first:
two_theta	I (rel.)
42.86	1000
18.47	814
62.08	568
42.67	493
60.56	308
34.79	266
19.45	229
25.99	215
36.24	207
37.43	201